Entry 1:
Theoretical powder diffractogram of Nb2Pb2Se4O15 for Cu Kα, 1.54184 Å, from a structure optimized by DFT (GGA-PBE).
Neutral-atom scattering factors, no anomalous dispersion.

Structural model:
Cell lengths 13.9884, 13.9884, 7.8792 Å; angles 94.27, 94.27, 29.77 degrees
Sites, in units of the cell vectors:
Nb 0.0637 0.0783 0.2373
Nb 0.0783 0.0637 0.7373
Nb 0.9217 0.9363 0.2627
Nb 0.9363 0.9217 0.7627
Pb 0.1875 0.4057 0.6836
Pb 0.4057 0.1875 0.1836
Pb 0.5943 0.8125 0.8164
Pb 0.8125 0.5943 0.3164
Se 0.0808 0.2970 0.9373
Se 0.2970 0.0808 0.4373
Se 0.3429 0.4986 0.4864
Se 0.4986 0.3429 0.9864
Se 0.5014 0.6571 0.0136
Se 0.6571 0.5014 0.5136
Se 0.7030 0.9192 0.5627
Se 0.9192 0.7030 0.0627
O 0.0005 0.1491 0.0158
O 0.0036 0.9964 0.7500
O 0.0475 0.5178 0.1870
O 0.1422 0.1550 0.2867
O 0.1491 0.0005 0.5158
O 0.1550 0.1422 0.7867
O 0.1701 0.2980 0.4502
O 0.1961 0.6555 0.3111
O 0.2002 0.6494 0.6639
O 0.2980 0.1701 0.9502
O 0.3401 0.3795 0.4693
O 0.3445 0.8039 0.1889
O 0.3506 0.7998 0.8361
O 0.3795 0.3401 0.9693
O 0.4822 0.9525 0.3130
O 0.5178 0.0475 0.6870
O 0.6205 0.6599 0.0307
O 0.6494 0.2002 0.1639
O 0.6555 0.1961 0.8111
O 0.6599 0.6205 0.5307
O 0.7020 0.8299 0.0498
O 0.7998 0.3506 0.3361
O 0.8039 0.3445 0.6889
O 0.8299 0.7020 0.5498
O 0.8450 0.8578 0.2133
O 0.8509 0.9995 0.4842
O 0.8578 0.8450 0.7133
O 0.9525 0.4822 0.8130
O 0.9964 0.0036 0.2500
O 0.9995 0.8509 0.9842

Most intense lines, 2θ = 10–90°, by angle:
| 2θ/deg | Rel. int. |
| --- | --- |
| 24.8 | 26 |
| 26.3 | 31 |
| 26.5 | 64 |
| 27.1 | 70 |
| 27.3 | 31 |
| 28.3 | 100 |
| 29.8 | 60 |
| 31.7 | 26 |
| 37.7 | 31 |
| 44.2 | 35 |

Entry 2:
Theoretical powder diffractogram of CeNi2P2 for Cu Kα, 1.54184 Å, from a structure optimized by DFT (GGA-PBE).
Neutral-atom scattering factors, no anomalous dispersion.

Structural model:
Cell lengths 3.9420, 3.9420, 9.4765 Å; angles 90.00, 90.00, 90.00 degrees
Sites, in units of the cell vectors:
Ce 0.0000 0.0000 0.0000
Ce 0.5000 0.5000 0.5000
Ni 0.0000 0.5000 0.2500
Ni 0.0000 0.5000 0.7500
Ni 0.5000 0.0000 0.2500
Ni 0.5000 0.0000 0.7500
P 0.0000 0.0000 0.3746
P 0.0000 0.0000 0.6254
P 0.5000 0.5000 0.1254
P 0.5000 0.5000 0.8746

Most intense lines, 2θ = 10–90°, by angle:
| 2θ/deg | Rel. int. |
| --- | --- |
| 24.5 | 37 |
| 36.4 | 49 |
| 37.4 | 100 |
| 38.0 | 14 |
| 46.1 | 41 |
| 53.7 | 16 |
| 60.1 | 22 |
| 61.2 | 14 |
| 68.3 | 16 |
| 79.5 | 21 |

Entry 3:
Theoretical powder diffractogram of Mg6BSbO8 for Cu Kα, 1.54184 Å, from a structure optimized by DFT (GGA-PBE).
Neutral-atom scattering factors, no anomalous dispersion.

Structural model:
Cell lengths 4.3830, 4.3830, 8.9468 Å; angles 90.00, 90.00, 90.00 degrees
Sites, in units of the cell vectors:
Mg 0.0000 0.0000 0.0000
Mg 0.0000 0.5000 0.2382
Mg 0.0000 0.5000 0.7618
Mg 0.5000 0.0000 0.2382
Mg 0.5000 0.0000 0.7618
Mg 0.5000 0.5000 0.0000
B 0.0000 0.0000 0.5000
Sb 0.5000 0.5000 0.5000
O 0.0000 0.0000 0.2300
O 0.0000 0.0000 0.7700
O 0.0000 0.5000 0.0000
O 0.0000 0.5000 0.5000
O 0.5000 0.0000 0.0000
O 0.5000 0.0000 0.5000
O 0.5000 0.5000 0.2360
O 0.5000 0.5000 0.7640

Most intense lines, 2θ = 10–90°, by angle:
| 2θ/deg | Rel. int. |
| --- | --- |
| 20.3 | 47 |
| 22.6 | 74 |
| 28.5 | 40 |
| 35.2 | 42 |
| 40.3 | 51 |
| 41.2 | 100 |
| 47.5 | 21 |
| 59.0 | 58 |
| 59.7 | 32 |
| 74.5 | 27 |

Entry 4:
Theoretical powder diffractogram of K4EuP2Se8 for Cu Kα, 1.54184 Å, from a structure optimized by DFT (GGA-PBE).
Neutral-atom scattering factors, no anomalous dispersion.

Structural model:
Cell lengths 11.8645, 11.8645, 11.8645 Å; angles 134.10, 71.60, 128.29 degrees
Sites, in units of the cell vectors:
K 0.0096 0.2500 0.7596
K 0.0843 0.6166 0.7009
K 0.4157 0.1166 0.5323
K 0.4904 0.2500 0.2404
K 0.5096 0.7500 0.7596
K 0.5843 0.8834 0.4677
K 0.9157 0.3834 0.2991
K 0.9904 0.7500 0.2404
Eu 0.2500 0.2500 0.0000
Eu 0.7500 0.7500 0.0000
P 0.1290 0.2053 0.3343
P 0.3710 0.7053 0.0763
P 0.6290 0.2947 0.9237
P 0.8710 0.7947 0.6657
Se 0.0974 0.8749 0.6236
Se 0.1043 0.9681 0.0724
Se 0.2420 0.2536 0.4956
Se 0.2487 0.6251 0.2225
Se 0.2513 0.4738 0.3764
Se 0.2580 0.7536 0.0116
Se 0.3957 0.4681 0.8637
Se 0.4026 0.0262 0.7775
Se 0.5974 0.9738 0.2225
Se 0.6043 0.5319 0.1363
Se 0.7420 0.2464 0.9884
Se 0.7487 0.5262 0.6236
Se 0.7513 0.3749 0.7775
Se 0.7580 0.7464 0.5044
Se 0.8957 0.0319 0.9276
Se 0.9026 0.1251 0.3764

Most intense lines, 2θ = 10–90°, by angle:
| 2θ/deg | Rel. int. |
| --- | --- |
| 10.6 | 55 |
| 19.5 | 40 |
| 24.1 | 31 |
| 27.8 | 44 |
| 29.3 | 57 |
| 30.5 | 46 |
| 31.9 | 100 |
| 33.4 | 47 |
| 34.0 | 31 |
| 46.0 | 32 |

Entry 5:
Theoretical powder diffractogram of CePu3 for Cu Kα, 1.54184 Å, from a structure optimized by DFT (GGA-PBE).
Neutral-atom scattering factors, no anomalous dispersion.

Structural model:
Cell lengths 6.7331, 5.2124, 6.7482 Å; angles 90.00, 119.70, 90.00 degrees
Sites, in units of the cell vectors:
Ce 0.1666 0.2500 0.3335
Ce 0.8334 0.7500 0.6665
Pu 0.1717 0.2500 0.8360
Pu 0.3360 0.7500 0.1640
Pu 0.3359 0.7500 0.6716
Pu 0.6641 0.2500 0.3284
Pu 0.6640 0.2500 0.8360
Pu 0.8283 0.7500 0.1640

Most intense lines, 2θ = 10–90°, by angle:
| 2θ/deg | Rel. int. |
| --- | --- |
| 30.5 | 24 |
| 30.7 | 12 |
| 34.4 | 35 |
| 35.2 | 100 |
| 35.3 | 49 |
| 46.7 | 16 |
| 62.1 | 20 |
| 65.8 | 11 |
| 66.0 | 11 |
| 66.1 | 11 |

Entry 6:
Theoretical powder diffractogram of Ce10Ga5Cl4 for Cu Kα, 1.54184 Å, from a structure optimized by DFT (GGA-PBE).
Neutral-atom scattering factors, no anomalous dispersion.

Structural model:
Cell lengths 16.5777, 16.5777, 16.5777 Å; angles 152.84, 152.84, 38.78 degrees
Sites, in units of the cell vectors:
Ce 0.0320 0.5320 0.1575
Ce 0.1028 0.6028 0.8428
Ce 0.1256 0.9680 0.5000
Ce 0.1534 0.1534 0.0000
Ce 0.2401 0.7401 0.8428
Ce 0.2599 0.1028 0.5000
Ce 0.3466 0.3466 0.0000
Ce 0.3744 0.8744 0.8425
Ce 0.3972 0.2401 0.5000
Ce 0.4680 0.6256 0.5000
Ce 0.5320 0.3744 0.5000
Ce 0.6028 0.7599 0.5000
Ce 0.6256 0.1256 0.1575
Ce 0.6534 0.6534 0.0000
Ce 0.7401 0.8972 0.5000
Ce 0.7599 0.2599 0.1572
Ce 0.8466 0.8466 0.0000
Ce 0.8744 0.0320 0.5000
Ce 0.8972 0.3972 0.1572
Ce 0.9680 0.4680 0.8425
Ga 0.0108 0.7567 0.5000
Ga 0.2433 0.7433 0.2540
Ga 0.2500 0.2500 0.0000
Ga 0.2567 0.5108 0.5000
Ga 0.4892 0.9892 0.7460
Ga 0.5108 0.0108 0.2540
Ga 0.7433 0.4892 0.5000
Ga 0.7500 0.7500 0.0000
Ga 0.7567 0.2567 0.7460
Ga 0.9892 0.2433 0.5000
Cl 0.0569 0.0569 0.0000
Cl 0.1400 0.3600 0.5000
Cl 0.3600 0.8600 0.2200
Cl 0.4431 0.4431 0.0000
Cl 0.5569 0.5569 0.0000
Cl 0.6400 0.1400 0.7800
Cl 0.8600 0.6400 0.5000
Cl 0.9431 0.9431 0.0000

Most intense lines, 2θ = 10–90°, by angle:
| 2θ/deg | Rel. int. |
| --- | --- |
| 25.8 | 16 |
| 32.5 | 29 |
| 32.6 | 100 |
| 36.5 | 50 |
| 36.9 | 13 |
| 40.4 | 10 |
| 52.6 | 19 |
| 55.6 | 9 |
| 66.9 | 9 |
| 68.2 | 12 |

Entry 7:
Theoretical powder diffractogram of TlCuO2 for Cu Kα, 1.54184 Å, from a structure optimized by DFT (GGA-PBE).
Neutral-atom scattering factors, no anomalous dispersion.

Structural model:
Cell lengths 3.5370, 3.5370, 11.7717 Å; angles 90.00, 90.00, 120.00 degrees
Sites, in units of the cell vectors:
Tl 0.0000 0.0000 0.0000
Tl 0.0000 0.0000 0.5000
Cu 0.3333 0.6667 0.2500
Cu 0.6667 0.3333 0.7500
O 0.3333 0.6667 0.0957
O 0.3333 0.6667 0.4043
O 0.6667 0.3333 0.5957
O 0.6667 0.3333 0.9043

Most intense lines, 2θ = 10–90°, by angle:
| 2θ/deg | Rel. int. |
| --- | --- |
| 15.1 | 42 |
| 29.2 | 28 |
| 30.1 | 15 |
| 30.4 | 23 |
| 33.0 | 100 |
| 42.6 | 30 |
| 51.7 | 24 |
| 55.6 | 27 |
| 61.1 | 20 |
| 62.7 | 16 |

Entry 8:
Theoretical powder diffractogram of Li4TiTe3O12 for Cu Kα, 1.54184 Å, from a structure optimized by DFT (GGA-PBE).
Neutral-atom scattering factors, no anomalous dispersion.

Structural model:
Cell lengths 5.0656, 8.8176, 5.2126 Å; angles 90.00, 93.73, 90.00 degrees
Sites, in units of the cell vectors:
Li 0.0000 0.0000 0.0000
Li 0.0000 0.3029 0.5000
Li 0.5000 0.4751 0.5000
Li 0.5000 0.8675 0.0000
Ti 0.5000 0.0662 0.5000
Te 0.0000 0.5673 0.0000
Te 0.0000 0.7696 0.5000
Te 0.5000 0.2502 0.0000
O 0.2025 0.7496 0.8326
O 0.2163 0.6101 0.3526
O 0.2344 0.9202 0.3633
O 0.2831 0.3980 0.8115
O 0.2910 0.2297 0.3000
O 0.3036 0.0827 0.8149
O 0.6964 0.0827 0.1851
O 0.7090 0.2297 0.7000
O 0.7169 0.3980 0.1885
O 0.7656 0.9202 0.6367
O 0.7837 0.6101 0.6474
O 0.7975 0.7496 0.1674

Most intense lines, 2θ = 10–90°, by angle:
| 2θ/deg | Rel. int. |
| --- | --- |
| 19.8 | 43 |
| 20.2 | 100 |
| 31.3 | 37 |
| 32.6 | 33 |
| 35.1 | 17 |
| 39.3 | 12 |
| 40.0 | 11 |
| 41.3 | 12 |
| 49.9 | 14 |
| 51.6 | 14 |